# 1
# LiAu2
Calculated X-ray diffraction stick pattern, Cu Kα X-rays. Input: the PBE geometry in OQMD.

a b c (Å): 3.9136 4.0413 6.5756
angles (deg): 90.00 107.27 90.00
Atoms (fractional coordinates):
Li 0.0882 0.2500 0.1811
Li 0.9118 0.7500 0.8189
Au 0.2537 0.7500 0.5067
Au 0.4249 0.2500 0.8454
Au 0.5751 0.7500 0.1546
Au 0.7463 0.2500 0.4933

Principal peaks in the range 10 to 80 degrees two-theta, low angle first:
- 2θ 23.8, rel. 325
- 2θ 26.2, rel. 191
- 2θ 36.2, rel. 144
- 2θ 38.6, rel. 1000
- 2θ 43.2, rel. 178
- 2θ 44.9, rel. 166
- 2θ 46.4, rel. 150
- 2θ 76.2, rel. 133

# 2
# LiAu4
Calculated X-ray diffraction stick pattern, Cu Kα X-rays. Input: the PBE geometry in OQMD.

a b c (Å): 6.9938 6.9938 6.9938
angles (deg): 90.00 90.00 90.00
Atoms (fractional coordinates):
Li 0.1886 0.1886 0.1886
Li 0.3114 0.8114 0.6886
Li 0.6886 0.3114 0.8114
Li 0.8114 0.6886 0.3114
Au 0.0450 0.1215 0.7965
Au 0.0670 0.9330 0.4330
Au 0.1215 0.7965 0.0450
Au 0.2035 0.5450 0.3785
Au 0.2965 0.4550 0.8785
Au 0.3785 0.2035 0.5450
Au 0.4330 0.0670 0.9330
Au 0.4550 0.8785 0.2965
Au 0.5450 0.3785 0.2035
Au 0.5670 0.5670 0.5670
Au 0.6215 0.7035 0.9550
Au 0.7035 0.9550 0.6215
Au 0.7965 0.0450 0.1215
Au 0.8785 0.2965 0.4550
Au 0.9330 0.4330 0.0670
Au 0.9550 0.6215 0.7035

Principal peaks in the range 10 to 80 degrees two-theta, low angle first:
- 2θ 22.0, rel. 123
- 2θ 28.5, rel. 269
- 2θ 38.6, rel. 1000
- 2θ 40.8, rel. 654
- 2θ 42.9, rel. 216
- 2θ 55.8, rel. 102
- 2θ 68.4, rel. 272
- 2θ 72.8, rel. 223

# 3
# Li8Au3
Calculated X-ray diffraction stick pattern, Cu Kα X-rays. Input: the PBE geometry in OQMD.

a b c (Å): 7.4584 7.5337 7.5402
angles (deg): 70.40 78.10 61.11
Atoms (fractional coordinates):
Li 0.0012 0.3890 0.3610
Li 0.0356 0.1204 0.1117
Li 0.0976 0.1732 0.7081
Li 0.3090 0.4875 0.1218
Li 0.3223 0.6640 0.7065
Li 0.3233 0.7254 0.3315
Li 0.3489 0.2162 0.8948
Li 0.3909 0.0584 0.3416
Li 0.6091 0.9416 0.6584
Li 0.6511 0.7838 0.1052
Li 0.6767 0.2746 0.6685
Li 0.6777 0.3360 0.2935
Li 0.6910 0.5125 0.8782
Li 0.9024 0.8268 0.2919
Li 0.9644 0.8796 0.8883
Li 0.9988 0.6110 0.6390
Au 0.0000 0.0000 0.5000
Au 0.0000 0.5000 0.0000
Au 0.3375 0.3520 0.5068
Au 0.3384 0.8397 0.9560
Au 0.6616 0.1603 0.0440
Au 0.6625 0.6480 0.4932

Principal peaks in the range 10 to 80 degrees two-theta, low angle first:
- 2θ 24.9, rel. 344
- 2θ 25.1, rel. 1000
- 2θ 28.2, rel. 253
- 2θ 29.0, rel. 217
- 2θ 29.9, rel. 213
- 2θ 41.1, rel. 106
- 2θ 41.5, rel. 111
- 2θ 48.2, rel. 122

# 4
# Li5Au2
Calculated X-ray diffraction stick pattern, Cu Kα X-rays. Input: the PBE geometry in OQMD.

a b c (Å): 6.9225 6.9225 6.9225
angles (deg): 36.56 36.56 36.56
Atoms (fractional coordinates):
Li 0.0000 0.0000 0.0000
Li 0.1448 0.1448 0.1448
Li 0.2875 0.2875 0.2875
Li 0.7125 0.7125 0.7125
Li 0.8552 0.8552 0.8552
Au 0.4257 0.4257 0.4257
Au 0.5743 0.5743 0.5743

Principal peaks in the range 10 to 80 degrees two-theta, low angle first:
- 2θ 24.1, rel. 1000
- 2θ 25.4, rel. 389
- 2θ 27.6, rel. 265
- 2θ 33.2, rel. 273
- 2θ 40.5, rel. 391
- 2θ 41.6, rel. 369
- 2θ 44.5, rel. 177
- 2θ 50.7, rel. 311

# 5
# Li3Au5
Calculated X-ray diffraction stick pattern, Cu Kα X-rays. Input: the PBE geometry in OQMD.

a b c (Å): 7.2136 8.3887 4.2521
angles (deg): 90.00 90.00 90.00
Atoms (fractional coordinates):
Li 0.0000 0.0000 0.0000
Li 0.0000 0.2745 0.5000
Li 0.0000 0.7255 0.5000
Li 0.5000 0.2255 0.5000
Li 0.5000 0.5000 0.0000
Li 0.5000 0.7745 0.5000
Au 0.0000 0.5000 0.0000
Au 0.2131 0.0000 0.5000
Au 0.2500 0.2500 0.0000
Au 0.2500 0.7500 0.0000
Au 0.2869 0.5000 0.5000
Au 0.5000 0.0000 0.0000
Au 0.7131 0.5000 0.5000
Au 0.7500 0.2500 0.0000
Au 0.7500 0.7500 0.0000
Au 0.7869 0.0000 0.5000

Principal peaks in the range 10 to 80 degrees two-theta, low angle first:
- 2θ 24.7, rel. 252
- 2θ 26.6, rel. 234
- 2θ 29.9, rel. 366
- 2θ 39.2, rel. 1000
- 2θ 42.5, rel. 217
- 2θ 43.1, rel. 208
- 2θ 75.6, rel. 151
- 2θ 76.4, rel. 159

What did the fourth record say?
# Li5Au2
Calculated X-ray diffraction stick pattern, Cu Kα X-rays. Input: the PBE geometry in OQMD.

a b c (Å): 6.9225 6.9225 6.9225
angles (deg): 36.56 36.56 36.56
Atoms (fractional coordinates):
Li 0.0000 0.0000 0.0000
Li 0.1448 0.1448 0.1448
Li 0.2875 0.2875 0.2875
Li 0.7125 0.7125 0.7125
Li 0.8552 0.8552 0.8552
Au 0.4257 0.4257 0.4257
Au 0.5743 0.5743 0.5743

Principal peaks in the range 10 to 80 degrees two-theta, low angle first:
- 2θ 24.1, rel. 1000
- 2θ 25.4, rel. 389
- 2θ 27.6, rel. 265
- 2θ 33.2, rel. 273
- 2θ 40.5, rel. 391
- 2θ 41.6, rel. 369
- 2θ 44.5, rel. 177
- 2θ 50.7, rel. 311

Which formula does entry 5 have?
Li3Au5

Please write out number 4 again, unchanged.
# Li5Au2
Calculated X-ray diffraction stick pattern, Cu Kα X-rays. Input: the PBE geometry in OQMD.

a b c (Å): 6.9225 6.9225 6.9225
angles (deg): 36.56 36.56 36.56
Atoms (fractional coordinates):
Li 0.0000 0.0000 0.0000
Li 0.1448 0.1448 0.1448
Li 0.2875 0.2875 0.2875
Li 0.7125 0.7125 0.7125
Li 0.8552 0.8552 0.8552
Au 0.4257 0.4257 0.4257
Au 0.5743 0.5743 0.5743

Principal peaks in the range 10 to 80 degrees two-theta, low angle first:
- 2θ 24.1, rel. 1000
- 2θ 25.4, rel. 389
- 2θ 27.6, rel. 265
- 2θ 33.2, rel. 273
- 2θ 40.5, rel. 391
- 2θ 41.6, rel. 369
- 2θ 44.5, rel. 177
- 2θ 50.7, rel. 311